Calculated powder XRD pattern
Compound: La12Pr6Dy
Radiation: Cu Kα (λ = 1.5418 Å)
Structure: a DFT-relaxed cell (PBE, Alexandria)
Neutral-atom scattering factors, no anomalous dispersion.

Atomic structure:
```
data_La12Pr6Dy
_chemical_formula_sum 'La36 Pr18 Dy3'
_symmetry_space_group_name_H-M 'R -3'
_symmetry_Int_Tables_number 148
_symmetry_space_group_name_Hall '-R 3'
_cell_length_a 13.6879
_cell_length_b 13.6879
_cell_length_c 13.1272
_cell_angle_alpha 90.00
_cell_angle_beta 90.00
_cell_angle_gamma 120.00
loop_
_atom_site_label
_atom_site_type_symbol
_atom_site_fract_x
_atom_site_fract_y
_atom_site_fract_z
La1 La 0.9997 0.2613 0.9999
La2 La 0.0556 0.5277 0.1115
Pr1 Pr 0.0884 0.9107 0.7699
Dy1 Dy 0.0000 0.0000 0.0000
```

Top 10 peaks for 10 to 80 degrees two-theta, by angle:
(1 0 4), 28.22 deg, d 3.163, intensity 26; (0 3 3), 30.45 deg, d 2.935, intensity 100; (4 0 1), 30.93 deg, d 2.891, intensity 68; (0 4 2), 33.18 deg, d 2.700, intensity 22; (0 1 5), 35.01 deg, d 2.563, intensity 10; (3 0 6), 47.50 deg, d 1.914, intensity 17; (4 4 0), 53.56 deg, d 1.711, intensity 10; (4 3 4), 54.78 deg, d 1.676, intensity 17; (0 7 2), 56.09 deg, d 1.640, intensity 11; (3 4 5), 59.03 deg, d 1.565, intensity 11

***

Calculated powder XRD pattern
Compound: La2Pr2SmEr2
Radiation: Cu Kα (λ = 1.5418 Å)
Structure: a DFT-relaxed cell (PBE, Alexandria)
Neutral-atom scattering factors, no anomalous dispersion.

Atomic structure:
```
data_La2Pr2SmEr2
_chemical_formula_sum 'La4 Pr4 Sm2 Er4'
_symmetry_space_group_name_H-M 'C 1 2/m 1'
_symmetry_Int_Tables_number 12
_cell_length_a 11.5156
_cell_length_b 5.1633
_cell_length_c 8.2121
_cell_angle_alpha 90.00
_cell_angle_beta 98.07
_cell_angle_gamma 90.00
loop_
_symmetry_equiv_pos_as_xyz
'x,y,z'
'-x,-y,-z'
'-x,y,-z'
'x,-y,z'
'x+1/2,y+1/2,z'
'-x+1/2,-y+1/2,-z'
'-x+1/2,y+1/2,-z'
'x+1/2,-y+1/2,z'
loop_
_atom_site_label
_atom_site_type_symbol
_atom_site_fract_x
_atom_site_fract_y
_atom_site_fract_z
La1 La 0.1419 0.0000 0.4268
Pr1 Pr 0.2145 0.5000 0.1416
Sm1 Sm 0.0000 0.0000 0.0000
Er1 Er 0.0707 0.5000 0.7142
```

Top 10 peaks for 10 to 80 degrees two-theta, by angle:
(1 1 2), 29.87 deg, d 2.991, intensity 100; (3 1 -1), 30.01 deg, d 2.978, intensity 99; (2 0 -3), 34.59 deg, d 2.593, intensity 34; (4 0 1), 34.77 deg, d 2.580, intensity 67; (2 2 -3), 49.84 deg, d 1.830, intensity 24; (4 2 1), 50.01 deg, d 1.824, intensity 36; (1 1 -5), 59.02 deg, d 1.565, intensity 15; (5 1 3), 59.28 deg, d 1.559, intensity 43; (3 3 -1), 59.39 deg, d 1.556, intensity 14; (7 1 0), 59.51 deg, d 1.553, intensity 14

***

Calculated powder XRD pattern
Compound: Nd3Zn4Au4
Radiation: Cu Kα (λ = 1.5418 Å)
Structure: a DFT-relaxed cell (PBE, Alexandria)
Neutral-atom scattering factors, no anomalous dispersion.

Atomic structure:
```
data_Nd3Zn4Au4
_chemical_formula_sum 'Nd3 Zn4 Au4'
_symmetry_space_group_name_H-M 'P -1'
_symmetry_Int_Tables_number 2
_cell_length_a 3.8348
_cell_length_b 4.4698
_cell_length_c 14.3396
_cell_angle_alpha 98.75
_cell_angle_beta 97.64
_cell_angle_gamma 90.22
loop_
_symmetry_equiv_pos_as_xyz
'x,y,z'
'-x,-y,-z'
loop_
_atom_site_label
_atom_site_type_symbol
_atom_site_fract_x
_atom_site_fract_y
_atom_site_fract_z
Nd1 Nd 0.0000 0.0000 0.0000
Nd2 Nd 0.1460 0.6454 0.2917
Zn1 Zn 0.2561 0.2578 0.5113
Zn2 Zn 0.4031 0.9042 0.8069
Au1 Au 0.3097 0.8121 0.6204
Au2 Au 0.4505 0.4497 0.8991
```

Top 10 peaks for 10 to 80 degrees two-theta, by angle:
(1 -1 1), 31.33 deg, d 2.855, intensity 47; (1 1 -2), 31.45 deg, d 2.845, intensity 47; (1 0 -4), 32.29 deg, d 2.772, intensity 100; (-1 1 2), 33.27 deg, d 2.693, intensity 55; (1 1 1), 33.38 deg, d 2.684, intensity 55; (0 2 -1), 40.36 deg, d 2.235, intensity 69; (0 1 5), 40.63 deg, d 2.220, intensity 48; (0 1 -6), 40.76 deg, d 2.214, intensity 46; (2 0 -1), 47.42 deg, d 1.917, intensity 43; (2 2 -2), 64.14 deg, d 1.452, intensity 42

***

Calculated powder XRD pattern
Compound: MgAl9Ni3
Radiation: Cu Kα (λ = 1.5418 Å)
Structure: a DFT-relaxed cell (PBE, Alexandria)
Neutral-atom scattering factors, no anomalous dispersion.

Atomic structure:
```
data_MgAl9Ni3
_chemical_formula_sum 'Mg2 Al18 Ni6'
_symmetry_space_group_name_H-M 'C 1 2/m 1'
_symmetry_Int_Tables_number 12
_cell_length_a 5.0680
_cell_length_b 12.4312
_cell_length_c 6.6017
_cell_angle_alpha 90.00
_cell_angle_beta 111.27
_cell_angle_gamma 90.00
loop_
_symmetry_equiv_pos_as_xyz
'x,y,z'
'-x,-y,-z'
'-x,y,-z'
'x,-y,z'
'x+1/2,y+1/2,z'
'-x+1/2,-y+1/2,-z'
'-x+1/2,y+1/2,-z'
'x+1/2,-y+1/2,z'
loop_
_atom_site_label
_atom_site_type_symbol
_atom_site_fract_x
_atom_site_fract_y
_atom_site_fract_z
Mg1 Mg 0.0000 0.0000 0.0000
Al1 Al 0.0000 0.0000 0.5000
Al2 Al 0.0959 0.3886 0.2129
Al3 Al 0.1662 0.1768 0.3343
Ni1 Ni 0.0000 0.5000 0.5000
Ni2 Ni 0.2500 0.2500 0.0000
```

Top 10 peaks for 10 to 80 degrees two-theta, by angle:
(0 2 1), 20.31 deg, d 4.372, intensity 100; (1 3 1), 35.27 deg, d 2.544, intensity 21; (2 2 0), 40.88 deg, d 2.207, intensity 50; (1 5 -1), 41.18 deg, d 2.192, intensity 19; (0 4 2), 41.30 deg, d 2.186, intensity 74; (2 2 -2), 41.48 deg, d 2.177, intensity 47; (2 0 1), 45.89 deg, d 1.978, intensity 25; (2 4 -1), 46.23 deg, d 1.964, intensity 73; (0 2 3), 46.64 deg, d 1.947, intensity 31; (2 0 -3), 46.98 deg, d 1.934, intensity 25

***

Calculated powder XRD pattern
Compound: BaPuAu2O6
Radiation: Cu Kα (λ = 1.5418 Å)
Structure: a DFT-relaxed cell (PBE, Alexandria)
Neutral-atom scattering factors, no anomalous dispersion.

Atomic structure:
```
data_BaPuAu2O6
_chemical_formula_sum 'Ba4 Pu4 Au8 O24'
_symmetry_space_group_name_H-M 'C 1 2/c 1'
_symmetry_Int_Tables_number 15
_cell_length_a 11.4370
_cell_length_b 9.7396
_cell_length_c 7.1463
_cell_angle_alpha 90.00
_cell_angle_beta 118.72
_cell_angle_gamma 90.00
loop_
_symmetry_equiv_pos_as_xyz
'x,y,z'
'-x,-y,-z'
'-x,y,-z+1/2'
'x,-y,z+1/2'
'x+1/2,y+1/2,z'
'-x+1/2,-y+1/2,-z'
'-x+1/2,y+1/2,-z+1/2'
'x+1/2,-y+1/2,z+1/2'
loop_
_atom_site_label
_atom_site_type_symbol
_atom_site_fract_x
_atom_site_fract_y
_atom_site_fract_z
Ba1 Ba 0.0000 0.1426 0.2500
Pu1 Pu 0.0000 0.2532 0.7500
Au1 Au 0.1595 0.4920 0.7073
O1 O 0.0948 0.1095 0.6835
O2 O 0.1218 0.2557 0.0365
O3 O 0.1608 0.4068 0.4535
```

Top 10 peaks for 10 to 80 degrees two-theta, by angle:
(1 1 0), 12.67 deg, d 6.987, intensity 40; (1 1 -1), 15.51 deg, d 5.712, intensity 35; (2 2 0), 25.50 deg, d 3.494, intensity 98; (3 1 0), 28.22 deg, d 3.162, intensity 100; (0 0 2), 28.49 deg, d 3.133, intensity 89; (1 3 0), 28.91 deg, d 3.089, intensity 40; (3 1 -2), 29.64 deg, d 3.014, intensity 56; (2 2 -2), 31.32 deg, d 2.856, intensity 99; (4 2 0), 40.46 deg, d 2.229, intensity 39; (6 0 -2), 47.79 deg, d 1.903, intensity 39

***

Calculated powder XRD pattern
Compound: MgNbCu
Radiation: Cu Kα (λ = 1.5418 Å)
Structure: a DFT-relaxed cell (PBE, Alexandria)
Neutral-atom scattering factors, no anomalous dispersion.

Atomic structure:
```
data_MgNbCu
_chemical_formula_sum 'Mg4 Nb4 Cu4'
_symmetry_space_group_name_H-M 'C m m m'
_symmetry_Int_Tables_number 65
_symmetry_space_group_name_Hall '-C 2 2'
_cell_length_a 4.0789
_cell_length_b 4.1019
_cell_length_c 11.8839
_cell_angle_alpha 90.00
_cell_angle_beta 90.00
_cell_angle_gamma 90.00
loop_
_atom_site_label
_atom_site_type_symbol
_atom_site_fract_x
_atom_site_fract_y
_atom_site_fract_z
Mg1 Mg 0.0000 0.0000 0.1521
Nb1 Nb 0.0000 0.5000 0.3446
Cu1 Cu 0.0000 0.0000 0.5000
Cu2 Cu 0.0000 0.5000 0.0000
```

Top 10 peaks for 10 to 80 degrees two-theta, by angle:
(0 0 3), 22.44 deg, d 3.961, intensity 14; (1 1 0), 30.92 deg, d 2.892, intensity 13; (1 1 3), 38.54 deg, d 2.336, intensity 100; (0 2 0), 44.16 deg, d 2.051, intensity 17; (2 0 0), 44.42 deg, d 2.039, intensity 17; (0 0 6), 45.81 deg, d 1.981, intensity 14; (2 2 0), 64.43 deg, d 1.446, intensity 11; (1 3 3), 77.47 deg, d 1.232, intensity 12; (3 1 3), 77.84 deg, d 1.227, intensity 12; (1 1 9), 79.86 deg, d 1.201, intensity 9

***

Calculated powder XRD pattern
Compound: Mn2Cd2PPt4
Radiation: Cu Kα (λ = 1.5418 Å)
Structure: a DFT-relaxed cell (PBE, Alexandria)
Neutral-atom scattering factors, no anomalous dispersion.

Atomic structure:
```
data_Mn2Cd2PPt4
_chemical_formula_sum 'Mn4 Cd4 P2 Pt8'
_symmetry_space_group_name_H-M 'I 4/m m m'
_symmetry_Int_Tables_number 139
_symmetry_space_group_name_Hall '-I 4 2'
_cell_length_a 6.2056
_cell_length_b 6.2056
_cell_length_c 7.8747
_cell_angle_alpha 90.00
_cell_angle_beta 90.00
_cell_angle_gamma 90.00
loop_
_atom_site_label
_atom_site_type_symbol
_atom_site_fract_x
_atom_site_fract_y
_atom_site_fract_z
Mn1 Mn 0.0000 0.0000 0.2091
Cd1 Cd 0.0000 0.5000 0.2500
P1 P 0.0000 0.0000 0.5000
Pt1 Pt 0.2362 0.2362 0.0000
```

Top 10 peaks for 10 to 80 degrees two-theta, by angle:
(0 0 2), 22.58 deg, d 3.937, intensity 17; (2 0 0), 28.77 deg, d 3.103, intensity 12; (2 0 2), 36.88 deg, d 2.437, intensity 100; (2 2 0), 41.14 deg, d 2.194, intensity 41; (0 0 4), 46.11 deg, d 1.969, intensity 14; (2 2 2), 47.44 deg, d 1.917, intensity 9; (4 0 0), 59.59 deg, d 1.551, intensity 13; (2 2 4), 63.49 deg, d 1.465, intensity 21; (4 2 2), 72.18 deg, d 1.309, intensity 25; (4 0 4), 78.49 deg, d 1.219, intensity 11

***

Calculated powder XRD pattern
Compound: LaErSc2S4
Radiation: Cu Kα (λ = 1.5418 Å)
Structure: a DFT-relaxed cell (PBE, Alexandria)
Neutral-atom scattering factors, no anomalous dispersion.

Atomic structure:
```
data_LaErSc2S4
_chemical_formula_sum 'La2 Er2 Sc4 S8'
_symmetry_space_group_name_H-M 'I 4/m m m'
_symmetry_Int_Tables_number 139
_symmetry_space_group_name_Hall '-I 4 2'
_cell_length_a 5.5009
_cell_length_b 5.5009
_cell_length_c 10.9679
_cell_angle_alpha 90.00
_cell_angle_beta 90.00
_cell_angle_gamma 90.00
loop_
_atom_site_label
_atom_site_type_symbol
_atom_site_fract_x
_atom_site_fract_y
_atom_site_fract_z
La1 La 0.0000 0.0000 0.0000
Er1 Er 0.0000 0.0000 0.5000
Sc1 Sc 0.0000 0.5000 0.2500
S1 S 0.0000 0.0000 0.2579
S2 S 0.0000 0.5000 0.0000
```

Top 10 peaks for 10 to 80 degrees two-theta, by angle:
(0 0 2), 16.16 deg, d 5.484, intensity 41; (1 1 0), 22.86 deg, d 3.890, intensity 37; (1 1 2), 28.13 deg, d 3.173, intensity 67; (2 0 0), 32.55 deg, d 2.750, intensity 96; (0 0 4), 32.66 deg, d 2.742, intensity 47; (2 0 2), 36.55 deg, d 2.459, intensity 23; (2 2 0), 46.76 deg, d 1.943, intensity 100; (3 1 2), 55.41 deg, d 1.658, intensity 21; (2 2 4), 58.15 deg, d 1.586, intensity 34; (4 2 0), 77.65 deg, d 1.230, intensity 29

***

Calculated powder XRD pattern
Compound: Sr2H2Pb
Radiation: Cu Kα (λ = 1.5418 Å)
Structure: a DFT-relaxed cell (PBE, Alexandria)
Neutral-atom scattering factors, no anomalous dispersion.

Atomic structure:
```
data_Sr2H2Pb
_chemical_formula_sum 'Sr2 H2 Pb1'
_symmetry_space_group_name_H-M 'P 4/m m m'
_symmetry_Int_Tables_number 123
_symmetry_space_group_name_Hall '-P 4 2'
_cell_length_a 3.7994
_cell_length_b 3.7994
_cell_length_c 8.0952
_cell_angle_alpha 90.00
_cell_angle_beta 90.00
_cell_angle_gamma 90.00
loop_
_atom_site_label
_atom_site_type_symbol
_atom_site_fract_x
_atom_site_fract_y
_atom_site_fract_z
Sr1 Sr 0.0000 0.0000 0.2004
H1 H 0.0000 0.5000 0.0000
Pb1 Pb 0.5000 0.5000 0.5000
```

Top 10 peaks for 10 to 80 degrees two-theta, by angle:
(0 0 1), 10.93 deg, d 8.095, intensity 50; (1 0 1), 25.90 deg, d 3.439, intensity 96; (1 0 2), 32.32 deg, d 2.770, intensity 100; (0 0 3), 33.20 deg, d 2.698, intensity 23; (1 1 0), 33.35 deg, d 2.687, intensity 54; (1 1 3), 47.77 deg, d 1.904, intensity 34; (2 0 0), 47.88 deg, d 1.900, intensity 20; (2 1 1), 55.24 deg, d 1.663, intensity 25; (2 1 2), 58.95 deg, d 1.567, intensity 36; (1 0 5), 62.34 deg, d 1.489, intensity 18

***

Calculated powder XRD pattern
Compound: Pr8C3S3O
Radiation: Cu Kα (λ = 1.5418 Å)
Structure: a DFT-relaxed cell (PBE, Alexandria)
Neutral-atom scattering factors, no anomalous dispersion.

Atomic structure:
```
data_Pr8C3S3O
_chemical_formula_sum 'Pr24 C9 S9 O3'
_symmetry_space_group_name_H-M 'R -3 m'
_symmetry_Int_Tables_number 166
_symmetry_space_group_name_Hall '-R 3 2"'
_cell_length_a 7.7676
_cell_length_b 7.7676
_cell_length_c 19.8330
_cell_angle_alpha 90.00
_cell_angle_beta 90.00
_cell_angle_gamma 120.00
loop_
_atom_site_label
_atom_site_type_symbol
_atom_site_fract_x
_atom_site_fract_y
_atom_site_fract_z
Pr1 Pr 0.0000 0.0000 0.2406
Pr2 Pr 0.0050 0.5025 0.7612
C1 C 0.0000 0.5000 0.5000
S1 S 0.0000 0.5000 0.0000
O1 O 0.0000 0.0000 0.5000
```

Top 10 peaks for 10 to 80 degrees two-theta, by angle:
(0 0 6), 26.97 deg, d 3.306, intensity 28; (2 0 2), 28.01 deg, d 3.185, intensity 87; (0 2 4), 32.16 deg, d 2.783, intensity 100; (2 0 8), 45.45 deg, d 1.996, intensity 30; (2 2 0), 46.78 deg, d 1.942, intensity 37; (2 2 6), 54.83 deg, d 1.674, intensity 24; (0 4 2), 55.41 deg, d 1.658, intensity 14; (4 0 4), 57.90 deg, d 1.593, intensity 18; (4 2 2), 75.38 deg, d 1.261, intensity 11; (2 4 4), 77.52 deg, d 1.231, intensity 15

***

Calculated powder XRD pattern
Compound: Sn
Radiation: Cu Kα (λ = 1.5418 Å)
Structure: a DFT-relaxed cell (PBE, Alexandria)
Neutral-atom scattering factors, no anomalous dispersion.

Atomic structure:
```
data_Sn
_chemical_formula_sum 'Sn8'
_symmetry_space_group_name_H-M 'C m c e'
_symmetry_Int_Tables_number 64
_symmetry_space_group_name_Hall '-C 2ac 2'
_cell_length_a 5.6079
_cell_length_b 9.7681
_cell_length_c 4.6336
_cell_angle_alpha 90.00
_cell_angle_beta 90.00
_cell_angle_gamma 90.00
loop_
_atom_site_label
_atom_site_type_symbol
_atom_site_fract_x
_atom_site_fract_y
_atom_site_fract_z
Sn1 Sn 0.0000 0.1502 0.1068
```

Top 10 peaks for 10 to 80 degrees two-theta, by angle:
(0 2 0), 18.16 deg, d 4.884, intensity 15; (0 2 1), 26.55 deg, d 3.358, intensity 100; (2 0 0), 31.92 deg, d 2.804, intensity 41; (0 4 0), 36.80 deg, d 2.442, intensity 18; (1 3 1), 37.37 deg, d 2.406, intensity 60; (2 2 1), 41.96 deg, d 2.153, intensity 27; (1 1 2), 43.26 deg, d 2.092, intensity 45; (2 4 0), 49.50 deg, d 1.842, intensity 16; (3 3 1), 60.50 deg, d 1.530, intensity 15; (1 5 2), 64.58 deg, d 1.443, intensity 22

***

Calculated powder XRD pattern
Compound: LiH6Pd4
Radiation: Cu Kα (λ = 1.5418 Å)
Structure: a DFT-relaxed cell (PBE, Alexandria)
Neutral-atom scattering factors, no anomalous dispersion.

Atomic structure:
```
data_LiH6Pd4
_chemical_formula_sum 'Li2 H12 Pd8'
_symmetry_space_group_name_H-M 'P 1 21/m 1'
_symmetry_Int_Tables_number 11
_cell_length_a 2.8686
_cell_length_b 13.7519
_cell_length_c 4.9648
_cell_angle_alpha 90.00
_cell_angle_beta 105.40
_cell_angle_gamma 90.00
loop_
_symmetry_equiv_pos_as_xyz
'x,y,z'
'-x,-y,-z'
'-x,y+1/2,-z'
'x,-y+1/2,z'
loop_
_atom_site_label
_atom_site_type_symbol
_atom_site_fract_x
_atom_site_fract_y
_atom_site_fract_z
Li1 Li 0.1815 0.2500 0.3326
H1 H 0.0000 0.0000 0.0000
H2 H 0.1770 0.7500 0.3702
H3 H 0.2571 0.0889 0.5246
H4 H 0.4791 0.6576 0.9586
Pd1 Pd 0.0901 0.6395 0.2019
Pd2 Pd 0.3701 0.5528 0.7328
```

Top 10 peaks for 10 to 80 degrees two-theta, by angle:
(0 2 0), 12.87 deg, d 6.876, intensity 65; (0 1 1), 19.64 deg, d 4.520, intensity 23; (0 4 0), 25.92 deg, d 3.438, intensity 17; (1 1 -1), 33.48 deg, d 2.677, intensity 20; (0 0 2), 37.58 deg, d 2.393, intensity 44; (0 5 1), 37.72 deg, d 2.385, intensity 100; (1 3 0), 38.00 deg, d 2.368, intensity 21; (1 3 -1), 38.39 deg, d 2.345, intensity 24; (1 4 0), 41.91 deg, d 2.155, intensity 20; (1 1 1), 42.34 deg, d 2.135, intensity 32

***

Calculated powder XRD pattern
Compound: Rb2UInS6
Radiation: Cu Kα (λ = 1.5418 Å)
Structure: a DFT-relaxed cell (PBE, Alexandria)
Neutral-atom scattering factors, no anomalous dispersion.

Atomic structure:
```
data_Rb2UInS6
_chemical_formula_sum 'Rb4 U2 In2 S12'
_symmetry_space_group_name_H-M 'P m m n'
_symmetry_Int_Tables_number 59
_cell_length_a 7.2902
_cell_length_b 10.3070
_cell_length_c 7.2910
_cell_angle_alpha 90.00
_cell_angle_beta 90.00
_cell_angle_gamma 90.00
loop_
_symmetry_equiv_pos_as_xyz
'x,y,z'
'-x,-y,-z'
'-x+1/2,-y+1/2,z'
'x+1/2,y+1/2,-z'
'x+1/2,-y,-z'
'-x+1/2,y,z'
'-x,y+1/2,-z'
'x,-y+1/2,z'
loop_
_atom_site_label
_atom_site_type_symbol
_atom_site_fract_x
_atom_site_fract_y
_atom_site_fract_z
Rb1 Rb 0.2500 0.0000 0.2497
U1 U 0.2500 0.2500 0.7493
In1 In 0.2500 0.7500 0.7507
S1 S 0.0044 0.2500 0.5035
S2 S 0.0042 0.2500 0.9950
S3 S 0.2500 0.0042 0.7494
```

Top 10 peaks for 10 to 80 degrees two-theta, by angle:
(1 1 0), 14.88 deg, d 5.952, intensity 13; (1 0 1), 17.20 deg, d 5.155, intensity 33; (2 0 0), 24.42 deg, d 3.645, intensity 100; (2 0 2), 34.81 deg, d 2.577, intensity 51; (3 0 1), 39.07 deg, d 2.305, intensity 16; (3 2 1), 42.98 deg, d 2.104, intensity 46; (4 0 0), 50.05 deg, d 1.822, intensity 35; (4 0 2), 56.45 deg, d 1.630, intensity 21; (5 2 1), 68.06 deg, d 1.378, intensity 24; (6 0 0), 78.77 deg, d 1.215, intensity 12